No. 1
# Eu5Er
Simulated powder XRD pattern, Cu Kα. Input: a cell relaxed with GGA-PBE.
Neutral-atom scattering factors, no anomalous dispersion.

Largest 10 diffraction maxima, in order of falling intensity, 2θ from 10° to 80°:
2θ (°), I/Imax, index
26.84, 100, 0 0 2
27.06, 98, 0 6 0
38.49, 78, 0 6 2
28.33, 73, 1 3 0
39.42, 60, 1 3 2
28.64, 40, 1 1 1
65.60, 32, 2 6 2
31.43, 31, 1 3 1
25.24, 27, 1 1 0
48.58, 26, 1 9 0

Structural model:
a b c (Å): 3.586 19.768 6.643
angles (deg): 90.00 90.00 90.00
Atoms (fractional coordinates):
Eu 0.000 0.000 0.000
Eu 0.000 0.332 0.500
Eu 0.000 0.333 0.000
Eu 0.000 0.667 0.000
Eu 0.000 0.668 0.500
Eu 0.500 0.167 0.000
Eu 0.500 0.168 0.500
Eu 0.500 0.500 0.000
Eu 0.500 0.832 0.500
Eu 0.500 0.833 0.000
Er 0.000 0.500 0.500
Er 0.500 0.000 0.500

***

No. 2
# YBiO2F2
Simulated powder XRD pattern, Cu Kα. Input: a cell relaxed with GGA-PBE.
Neutral-atom scattering factors, no anomalous dispersion.

Largest 10 diffraction maxima, in order of falling intensity, 2θ from 10° to 80°:
2θ (°), I/Imax, index
27.72, 100, 1 0 1
45.94, 38, 1 1 2
54.80, 31, 2 1 1
32.27, 19, 1 1 0
46.28, 19, 2 0 0
54.20, 16, 1 0 3
73.97, 13, 2 1 3
22.66, 12, 1 0 0
15.75, 11, 0 0 1
31.80, 10, 0 0 2

Structural model:
a b c (Å): 3.923 3.923 5.628
angles (deg): 90.00 90.00 90.00
Atoms (fractional coordinates):
Y 0.000 0.000 0.000
Bi 0.500 0.500 0.500
O 0.000 0.500 0.743
O 0.500 0.000 0.257
F 0.000 0.500 0.216
F 0.500 0.000 0.784